Diffraction record for Rb3MnBi3Se8. The powder diffraction line list is simulated, not measured: it uses a structure optimized by DFT (GGA-PBE) and a wavelength of 1.5418 Å.

Main lines, most intense first (2θ = 10–90°):
28.5°, I = 100
10.8°, I = 64
43.1°, I = 33
38.3°, I = 32
35.5°, I = 21
52.5°, I = 16
70.2°, I = 13
47.7°, I = 11

Structural model:
```
Rb3MnBi3Se8
1.0
4.1958 2.4225 8.2217
-4.1958 2.4225 8.2217
0.0000 -4.8449 8.2217
Rb Mn Bi Se
3 1 3 8
Direct
0.0000 0.5000 0.5000
0.5000 0.0000 0.5000
0.5000 0.5000 0.0000
0.5000 0.5000 0.5000
0.0000 0.0000 0.5000
0.0000 0.5000 0.0000
0.5000 0.0000 0.0000
0.2354 0.2354 0.2354
0.2702 0.7040 0.7040
0.2960 0.2960 0.7298
0.2960 0.7298 0.2960
0.7040 0.2702 0.7040
0.7040 0.7040 0.2702
0.7298 0.2960 0.2960
0.7647 0.7647 0.7647
```